Diffraction record for In2NiF. The XRD peak list is theoretical, not measured: it uses a PBE+U-relaxed structure and Cu Kα, 1.54184 Å.
Lines closer than 0.1° are merged.

Structure:
Unit cell a=5.787 b=5.787 c=11.034 alpha=90.00 beta=90.00 gamma=90.00
Element x y z (fractional)
1 In 0.248 0.250 0.125
2 In 0.250 0.748 0.375
3 In 0.250 0.752 0.875
4 In 0.252 0.250 0.625
5 In 0.748 0.750 0.625
6 In 0.750 0.248 0.875
7 In 0.750 0.252 0.375
8 In 0.752 0.750 0.125
9 Ni 0.000 0.000 0.000
10 Ni 0.000 0.500 0.250
11 Ni 0.500 0.000 0.750
12 Ni 0.500 0.500 0.500
13 F 0.000 0.000 0.500
14 F 0.000 0.500 0.750
15 F 0.500 0.000 0.250
16 F 0.500 0.500 0.000

Peak list (10 most intense, 10° ≤ 2θ ≤ 80°, by angle)
d/Å	intensity	hkl
3.287	1000	1 1 2
2.894	126	2 0 0
2.759	55	0 0 4
2.046	212	2 2 0
1.997	391	2 0 4
1.737	303	3 1 2
1.677	140	1 1 6
1.447	65	4 0 0
1.324	59	3 3 2
1.297	112	3 1 6